BC: simulated powder X-ray diffraction pattern (CuKα), based on a cell relaxed with PBE.

Structure:
Cell: 2.6332 2.6332 15.0078 Å, 90.00 90.00 120.00°
Space group P3m1 (No. 156)
Inequivalent atoms, fractional coordinates:
B 0.0000 0.0000 0.0000
B 0.0000 0.0000 0.1131
B 0.0000 0.0000 0.4649
B 0.0000 0.0000 0.6954
B 0.3333 0.6667 0.1886
B 0.3333 0.6667 0.3018
C 0.3333 0.6667 0.7093
C 0.3333 0.6667 0.8179
C 0.6667 0.3333 0.3486
C 0.6667 0.3333 0.4522
C 0.6667 0.3333 0.8535
C 0.6667 0.3333 0.9534

Top 8 peaks for 2θ from 15° to 90°, sorted by position:
hkl 0 0 3, 17.73°, 5.003 Å, rel. 30; hkl 0 0 4, 23.71°, 3.752 Å, rel. 14; hkl 0 0 6, 35.90°, 2.501 Å, rel. 17; hkl 0 1 2, 41.38°, 2.182 Å, rel. 100; hkl 0 0 8, 48.53°, 1.876 Å, rel. 14; hkl 0 1 8, 64.30°, 1.449 Å, rel. 10; hkl 1 1 0, 71.68°, 1.317 Å, rel. 28; hkl 0 1 10, 75.89°, 1.254 Å, rel. 16

=====

BC: simulated powder X-ray diffraction pattern (CuKα), based on a cell relaxed with PBE.

Structure:
Cell: 4.836 7.947 4.694 Å, 90.00 111.60 90.00°
Space group Cc (No. 9)
Inequivalent atoms, fractional coordinates:
B 0.000 0.047 0.000
B 0.116 0.421 0.345
B 0.154 0.287 0.818
C 0.009 0.239 0.466
C 0.151 0.092 0.357
C 0.493 0.090 0.466

Top 8 peaks for 2θ from 15° to 90°, sorted by position:
hkl 1 1 -1, 25.23°, 3.529 Å, rel. 14; hkl 0 2 1, 30.42°, 2.938 Å, rel. 32; hkl 2 0 0, 40.10°, 2.248 Å, rel. 45; hkl 1 3 -1, 41.06°, 2.198 Å, rel. 100; hkl 0 0 2, 41.38°, 2.182 Å, rel. 44; hkl 3 3 -1, 68.10°, 1.377 Å, rel. 24; hkl 1 3 -3, 69.88°, 1.346 Å, rel. 22; hkl 2 0 2, 70.31°, 1.339 Å, rel. 13